K2Au3I8: computed powder X-ray diffraction pattern (copper Kα), based on a DFT-relaxed cell (PBE, Alexandria).
No peak broadening, texture or thermal motion is included.

Principal peaks in the range 10° ≤ 2θ ≤ 90°, most intense first:
2θ = 23.70°, d 3.755, I = 100, hkl 2 2 -1
2θ = 14.75°, d 6.005, I = 93, hkl 1 1 -1
2θ = 11.89°, d 7.443, I = 89, hkl 2 0 0
2θ = 30.60°, d 2.922, I = 57, hkl 4 2 -1
2θ = 38.36°, d 2.347, I = 44, hkl 3 3 -2
2θ = 22.29°, d 3.988, I = 40, hkl 2 2 0
2θ = 16.74°, d 5.296, I = 35, hkl 1 1 1
2θ = 38.09°, d 2.363, I = 33, hkl 0 4 0
2θ = 27.04°, d 3.297, I = 24, hkl 3 1 -2
2θ = 23.93°, d 3.718, I = 21, hkl 4 0 -1

Atomic structure:
Cell lengths 15.3084, 9.4474, 8.1352 Å; angles 90.00, 103.48, 90.00 degrees
Space group C2/m (No. 12)
Inequivalent atoms, fractional coordinates:
K  0.2134  0.0000  0.0851
Au  0.0000  0.2047  0.5000
Au  0.0000  0.5000  0.0000
I  0.0792  0.2789  0.8196
I  0.1358  0.0000  0.4615
I  0.1601  0.5000  0.2341